Entry 1:
Structure and simulated XRD peak list of In2Te3 (a crystal structure in the Materials Project, relaxed with PBE; Cu Kα X-rays).
Neutral-atom scattering factors, no anomalous dispersion.

Crystal structure
```
15
Lattice="4.3482 0.0000 0.0000 -2.1741 3.7656 0.0000 0.0000 0.0000 29.3671" Properties=species:S:1:pos:R:3 pbc="T T T"
In 0.0000 0.0000 2.9159
In 0.0000 0.0000 26.4512
In 0.0000 2.5104 16.6621
In 0.0000 2.5104 22.4940
In 2.1741 1.2552 6.8731
In 2.1741 1.2552 12.7049
Te 0.0000 0.0000 8.3847
Te 0.0000 0.0000 14.6835
Te 0.0000 0.0000 20.9824
Te 0.0000 2.5104 4.8945
Te 0.0000 2.5104 11.1933
Te 0.0000 2.5104 27.9628
Te 2.1741 1.2552 1.4043
Te 2.1741 1.2552 18.1737
Te 2.1741 1.2552 24.4726
```

Main lines, in order of rising 2θ (2θ from 10° to 80°):
| 2theta | I (rel.) |
| --- | --- |
| 18.12 | 4.6 |
| 28.15 | 100.0 |
| 38.89 | 32.3 |
| 41.53 | 43.2 |
| 50.93 | 19.0 |
| 58.21 | 9.7 |
| 64.00 | 9.2 |
| 67.74 | 15.8 |
| 74.01 | 9.4 |
| 75.77 | 8.0 |


Entry 2:
Structure and simulated XRD peak list of In2Te5 (a crystal structure in the Materials Project, relaxed with PBE; Cu Kα X-rays).
Neutral-atom scattering factors, no anomalous dispersion.

Crystal structure
```
14
Lattice="2.1890 -8.5870 0.0000 2.1890 8.5870 0.0000 -0.3781 0.0000 14.0427" Properties=species:S:1:pos:R:3 pbc="T T T"
In 2.0000 8.5361 7.0214
In 1.9897 1.9510 4.6860
In 1.8007 -1.9510 11.7074
In 2.1890 -8.5361 0.0000
Te 2.0861 5.9244 7.8459
Te 2.0847 4.6169 3.7518
Te 1.7949 3.3516 12.8021
Te 2.0049 1.7708 7.5932
Te 2.1939 -1.7708 0.5718
Te 1.9839 -3.3516 5.7807
Te 1.8957 -4.6169 10.7731
Te 2.2752 -5.9244 0.8245
Te 4.1909 0.1870 4.0973
Te 4.0018 -0.1870 11.1187
```

Main lines, in order of rising 2θ (2θ from 10° to 80°):
| 2theta | I (rel.) |
| --- | --- |
| 12.61 | 55.7 |
| 21.64 | 100.0 |
| 25.37 | 71.3 |
| 25.62 | 57.5 |
| 28.02 | 66.7 |
| 28.77 | 73.6 |
| 33.16 | 63.0 |
| 41.26 | 66.1 |
| 41.83 | 69.8 |
| 42.59 | 87.1 |


Entry 3:
Structure and simulated XRD peak list of In3Te4 (a crystal structure in the Materials Project, relaxed with PBE; Cu Kα X-rays).
Neutral-atom scattering factors, no anomalous dispersion.

Crystal structure
```
7
Lattice="2.1703 1.2530 13.8464 -2.1703 1.2530 13.8464 0.0000 -2.5060 13.8464" Properties=species:S:1:pos:R:3 pbc="T T T"
In 0.0000 0.0000 0.0000
In 0.0000 0.0000 17.7220
In 0.0000 0.0000 23.8173
Te 0.0000 0.0000 5.3489
Te 0.0000 0.0000 12.0716
Te 0.0000 0.0000 29.4677
Te 0.0000 0.0000 36.1903
```

Main lines, in order of rising 2θ (2θ from 10° to 80°):
| 2theta | I (rel.) |
| --- | --- |
| 28.10 | 100.0 |
| 38.66 | 28.7 |
| 41.61 | 39.0 |
| 44.21 | 8.7 |
| 50.97 | 18.8 |
| 58.10 | 8.5 |
| 63.65 | 6.6 |
| 67.83 | 16.8 |
| 69.46 | 8.0 |
| 73.97 | 8.2 |


Entry 4:
Structure and simulated XRD peak list of In2Te3 (a crystal structure in the Materials Project, relaxed with PBE; Cu Kα X-rays).
Neutral-atom scattering factors, no anomalous dispersion.

Crystal structure
```
5
Lattice="4.5668 0.0000 0.0000 -2.2834 3.9550 0.0000 0.0000 0.0000 10.6413" Properties=species:S:1:pos:R:3 pbc="T T T"
In 0.0000 0.0000 0.0000
In 0.0000 2.6366 6.2521
Te 0.0000 0.0000 2.6969
Te 0.0000 2.6366 9.2332
Te 2.2834 1.3183 4.9882
```

Main lines, in order of rising 2θ (2θ from 10° to 80°):
| 2theta | I (rel.) |
| --- | --- |
| 16.66 | 10.8 |
| 24.00 | 100.0 |
| 33.95 | 42.0 |
| 39.46 | 48.9 |
| 40.88 | 42.1 |
| 46.72 | 16.4 |
| 53.02 | 11.6 |
| 58.12 | 14.7 |
| 62.77 | 13.4 |
| 72.54 | 15.0 |


Entry 5:
Structure and simulated XRD peak list of InTe (a crystal structure in the Materials Project, relaxed with PBE; Cu Kα X-rays).
Neutral-atom scattering factors, no anomalous dispersion.

Crystal structure
```
16
Lattice="8.6274 0.0000 0.0000 0.0000 8.6274 0.0000 0.0000 0.0000 7.2267" Properties=species:S:1:pos:R:3 pbc="T T T"
In 0.0000 0.0000 1.8067
In 0.0000 0.0000 5.4200
In 0.0000 4.3137 1.8067
In 0.0000 4.3137 5.4200
In 4.3137 0.0000 1.8067
In 4.3137 0.0000 5.4200
In 4.3137 4.3137 1.8067
In 4.3137 4.3137 5.4200
Te 1.5706 2.7432 0.0000
Te 1.5706 5.8843 3.6134
Te 2.7432 1.5706 3.6134
Te 2.7432 7.0569 0.0000
Te 5.8843 1.5706 0.0000
Te 5.8843 7.0569 3.6134
Te 7.0569 2.7432 3.6134
Te 7.0569 5.8843 0.0000
```

Main lines, in order of rising 2θ (2θ from 10° to 80°):
| 2theta | I (rel.) |
| --- | --- |
| 26.18 | 63.5 |
| 29.28 | 47.9 |
| 32.32 | 100.0 |
| 44.33 | 15.2 |
| 45.11 | 24.9 |
| 47.11 | 14.3 |
| 49.20 | 13.7 |
| 53.87 | 12.9 |
| 59.46 | 12.4 |
| 74.32 | 15.0 |


Entry 6:
Structure and simulated XRD peak list of In2Te3 (a crystal structure in the Materials Project, relaxed with PBE; Cu Kα X-rays).
Neutral-atom scattering factors, no anomalous dispersion.

Crystal structure
```
15
Lattice="-6.5883 6.5883 3.8239 6.5883 -6.5883 3.8239 6.5883 6.5883 -3.8239" Properties=species:S:1:pos:R:3 pbc="T T T"
In 2.3293 0.0000 0.0000
In 10.8473 0.0000 0.0000
In 6.5883 0.0000 0.1858
In 0.0000 2.3293 0.0000
In 0.0000 6.5883 0.1858
In 0.0000 10.8473 0.0000
Te 4.4278 0.0000 2.0084
Te 8.7488 0.0000 2.0084
Te 4.4250 4.4250 1.9026
Te 2.1633 -2.1633 5.7265
Te 0.0000 4.4278 2.0084
Te 0.0000 0.0000 5.1773
Te -2.1633 2.1633 5.7265
Te 2.1633 2.1633 5.7265
Te 0.0000 8.7488 2.0084
```

Main lines, in order of rising 2θ (2θ from 10° to 80°):
| 2theta | I (rel.) |
| --- | --- |
| 13.40 | 78.3 |
| 19.01 | 22.3 |
| 23.35 | 91.4 |
| 27.02 | 48.0 |
| 36.03 | 29.6 |
| 37.30 | 100.0 |
| 40.93 | 24.3 |
| 41.10 | 40.4 |
| 47.80 | 27.6 |
| 72.39 | 26.4 |


Entry 7:
Structure and simulated XRD peak list of InTe (a crystal structure in the Materials Project, relaxed with PBE; Cu Kα X-rays).
Neutral-atom scattering factors, no anomalous dispersion.

Crystal structure
```
2
Lattice="3.8824 0.0000 0.0000 0.0000 3.8824 0.0000 0.0000 0.0000 3.8824" Properties=species:S:1:pos:R:3 pbc="T T T"
In 0.0000 0.0000 0.0000
Te 1.9412 1.9412 1.9412
```

Main lines, in order of rising 2θ (2θ from 10° to 80°):
| 2theta | I (rel.) |
| --- | --- |
| 32.62 | 100.0 |
| 46.80 | 18.0 |
| 58.21 | 37.0 |
| 68.34 | 11.3 |
| 77.80 | 15.6 |


Entry 8:
Structure and simulated XRD peak list of In2Te5 (a crystal structure in the Materials Project, relaxed with PBE; Cu Kα X-rays).
Neutral-atom scattering factors, no anomalous dispersion.

Crystal structure
```
42
Lattice="8.6454 -2.1898 0.0000 8.6454 2.1898 0.0000 -7.7284 0.0000 41.7731" Properties=species:S:1:pos:R:3 pbc="T T T"
In 4.2485 1.9358 23.2374
In 1.4498 1.9358 39.4224
In 3.4174 0.5333 9.2704
In 3.2898 0.2468 16.2538
In -0.4468 -0.5333 30.1570
In -0.5744 -0.2468 37.1404
In 10.1369 0.2468 4.6327
In 10.0093 0.5333 11.6162
In 6.2727 -0.2468 25.5193
In 6.1451 -0.5333 32.5028
In 8.1127 -1.9358 2.3508
In 5.3140 -1.9358 18.5358
Te 1.1952 1.9495 36.5206
Te 4.5031 1.9495 26.1391
Te 2.8491 1.6050 31.3299
Te -0.7402 0.1196 19.5308
Te 0.6337 0.1200 15.4344
Te -4.6044 -0.1196 40.4174
Te 3.1459 0.5191 12.1860
Te -3.2305 -0.1200 36.3210
Te 4.8212 0.3058 3.3918
Te 3.5528 0.2430 19.1689
Te 6.0337 0.3543 8.3755
Te 0.9570 -0.3058 24.2783
Te -0.7183 -0.5191 33.0726
Te -0.3113 -0.2430 40.0555
Te 7.3930 0.3543 12.5111
Te 2.1695 -0.3543 29.2620
Te 9.8738 0.2430 1.7176
Te 10.2808 0.5191 8.7006
Te 8.6054 0.3058 17.4948
Te 3.5288 -0.3543 33.3977
Te 6.0096 -0.2430 22.6042
Te 4.7413 -0.3058 38.3814
Te 12.7930 0.1200 5.4522
Te 6.4166 -0.5191 29.5871
Te 14.1669 0.1196 1.3557
Te 8.9288 -0.1200 26.3388
Te 10.3027 -0.1196 22.2423
Te 6.7133 -1.6050 10.4433
Te 5.0594 -1.9495 15.6340
Te 8.3673 -1.9495 5.2526
```

Main lines, in order of rising 2θ (2θ from 10° to 80°):
| 2theta | I (rel.) |
| --- | --- |
| 12.71 | 55.7 |
| 21.09 | 50.2 |
| 22.09 | 50.3 |
| 25.58 | 100.0 |
| 27.44 | 72.1 |
| 27.69 | 55.8 |
| 29.32 | 98.0 |
| 33.01 | 56.3 |
| 42.08 | 53.5 |
| 42.55 | 59.1 |